Diffraction record for ZnAs. The powder X-ray diffraction pattern is simulated, not measured: it uses a crystal structure in Alexandria, relaxed with PBE and λ = 1.5418 Å (Cu Kα).

Structure:
abc: 5.747 7.331 7.649
angles: 90.00 90.00 90.00
Space group Pbca (No. 61)
Unique sites:
Zn: 0.040 0.116 0.134 x8
As: 0.137 0.574 0.898 x8

Main lines, in order of falling intensity (10 to 90 degrees two-theta):
| 2θ (°) | d [Å] | I_rel | h k l |
| --- | --- | --- | --- |
| 30.61 | 2.920 | 1000 | 1 1 2 |
| 46.87 | 1.939 | 703 | 1 3 2 |
| 31.20 | 2.867 | 648 | 2 0 0 |
| 35.55 | 2.525 | 523 | 2 1 1 |
| 49.38 | 1.846 | 354 | 2 1 3 |
| 24.28 | 3.666 | 287 | 0 2 0 |
| 47.55 | 1.912 | 282 | 0 0 4 |
| 50.68 | 1.801 | 274 | 3 1 1 |
| 41.65 | 2.169 | 249 | 2 2 1 |
| 28.02 | 3.184 | 202 | 1 0 2 |

Diffraction record for CsDy2Ag3Te5. The powder X-ray diffraction pattern is simulated, not measured: it uses a crystal structure in Alexandria, relaxed with PBE and λ = 1.5418 Å (Cu Kα).

Structure:
abc: 4.583 16.491 18.626
angles: 90.00 90.00 90.00
Space group Cmcm (No. 63)
Unique sites:
Cs: 0.000 0.058 0.250 x4
Dy: 0.000 0.191 0.594 x8
Ag: 0.000 0.341 0.250 x4
Ag: 0.000 0.416 0.535 x8
Te: 0.000 0.178 0.072 x8
Te: 0.000 0.255 0.750 x4
Te: 0.000 0.435 0.118 x8

Main lines, in order of falling intensity (10 to 90 degrees two-theta):
| 2θ (°) | d [Å] | I_rel | h k l |
| --- | --- | --- | --- |
| 27.08 | 3.293 | 1000 | 1 3 2 |
| 25.76 | 3.459 | 995 | 1 3 1 |
| 42.59 | 2.123 | 950 | 1 3 7 |
| 39.32 | 2.292 | 912 | 2 0 0 |
| 31.87 | 2.808 | 908 | 1 3 4 |
| 28.76 | 3.104 | 863 | 0 0 6 |
| 33.47 | 2.677 | 767 | 1 5 0 |
| 34.87 | 2.573 | 663 | 1 5 2 |
| 25.30 | 3.520 | 533 | 1 3 0 |
| 43.94 | 2.061 | 399 | 0 8 0 |

Diffraction record for TcOs2OF. The powder X-ray diffraction pattern is simulated, not measured: it uses a crystal structure in Alexandria, relaxed with PBE and λ = 1.5418 Å (Cu Kα).

Structure:
abc: 4.819 4.819 3.763
angles: 90.00 90.00 90.00
Space group P4/mmm (No. 123)
Unique sites:
Tc: 0.000 0.000 0.000 x1
Os: 0.000 0.500 0.000 x2
O: 0.000 0.000 0.500 x1
F: 0.500 0.500 0.500 x1

Main lines, in order of falling intensity (10 to 90 degrees two-theta):
| 2θ (°) | d [Å] | I_rel | h k l |
| --- | --- | --- | --- |
| 23.64 | 3.763 | 1000 | 0 0 1 |
| 37.32 | 2.409 | 848 | 2 0 0 |
| 44.66 | 2.029 | 765 | 2 0 1 |
| 35.54 | 2.526 | 709 | 1 1 1 |
| 26.15 | 3.407 | 440 | 1 1 0 |
| 62.65 | 1.483 | 366 | 2 0 2 |
| 59.57 | 1.552 | 333 | 2 2 1 |
| 53.81 | 1.704 | 292 | 2 2 0 |
| 66.16 | 1.412 | 230 | 3 1 1 |
| 75.24 | 1.263 | 213 | 2 2 2 |